1.
The following is a calculated powder XRD pattern of Pm3SI7. It was derived from the GGA-PBE geometry in Alexandria, using Cu Kα (λ = 1.5418 Å).
Kinematic intensities with the Lorentz-polarization factor, no thermal factor.

Main lines, in order of rising 2θ (15 to 90 degrees two-theta):
two_theta, I/Imax
25.92, 100
32.95, 57
40.67, 33
42.38, 38
48.86, 18
53.29, 17
64.07, 16
65.37, 18
69.13, 13
75.16, 15

Atomic structure:
```
Pm3SI7
1.0
8.874 0.000 0.000
-4.437 7.685 0.000
0.000 0.000 7.695
Pm S I
3 1 7
Direct
0.019 0.509 0.000 Pm
0.491 0.509 0.000 Pm
0.491 0.981 0.000 Pm
0.333 0.667 0.159 S
0.167 0.334 0.756 I
0.167 0.833 0.756 I
0.339 0.170 0.223 I
0.666 0.833 0.756 I
0.667 0.333 0.758 I
0.830 0.170 0.223 I
0.830 0.661 0.223 I
```



2.
The following is a calculated powder XRD pattern of La4PmNd10. It was derived from the GGA-PBE geometry in Alexandria, using Cu Kα (λ = 1.5418 Å).
Kinematic intensities with the Lorentz-polarization factor, no thermal factor.

Main lines, in order of rising 2θ (15 to 90 degrees two-theta):
two_theta, I/Imax
26.83, 47
29.73, 49
30.64, 100
30.97, 94
32.86, 40
34.15, 25
39.63, 47
43.89, 24
51.82, 25
65.10, 31

Atomic structure:
```
La4PmNd10
1.0
-5.835 5.835 4.042
5.835 -5.835 4.042
5.835 5.835 -4.042
La Pm Nd
4 1 10
Direct
0.227 0.227 0.453 La
0.227 0.773 0.000 La
0.773 0.227 0.000 La
0.773 0.773 0.547 La
0.000 0.000 0.000 Pm
0.081 0.291 0.790 Nd
0.250 0.750 0.500 Nd
0.291 0.081 0.790 Nd
0.291 0.501 0.210 Nd
0.499 0.709 0.790 Nd
0.501 0.291 0.210 Nd
0.709 0.499 0.790 Nd
0.709 0.919 0.210 Nd
0.750 0.250 0.500 Nd
0.919 0.709 0.210 Nd
```